Li3Co2Si2O8: calculated powder diffraction line list (Cu Kα, 1.54184 Å), based on DFT lattice parameters and positions (GGA+U).
Peak positions follow from Bragg's law for the DFT cell and can differ from measured ones.

Most intense lines, 10° ≤ 2θ ≤ 80°, by angle:
- 16.16°, d 5.483, I 35.9, hkl 0 1 1
- 21.61°, d 4.113, I 71.1, hkl 0 1 2
- 22.46°, d 3.959, I 100.0, hkl 1 1 0
- 27.99°, d 3.188, I 27.8, hkl 1 1 2
- 32.66°, d 2.742, I 50.6, hkl 0 2 2
- 33.28°, d 2.692, I 27.9, hkl 0 0 4
- 35.54°, d 2.526, I 47.1, hkl 2 0 0
- 37.32°, d 2.410, I 40.3, hkl 1 2 2

```
data_Li3Co2Si2O8
_cell_length_a 5.0526
_cell_length_b 6.3712
_cell_length_c 10.7690
_cell_angle_alpha 90.00
_cell_angle_beta 90.24
_cell_angle_gamma 90.00
_symmetry_space_group_name_H-M 'P 1 c 1'
_symmetry_Int_Tables_number 7
loop_
_symmetry_equiv_pos_as_xyz
'x,y,z'
'x,-y,z+1/2'
loop_
_atom_site_label
_atom_site_type_symbol
_atom_site_fract_x
_atom_site_fract_y
_atom_site_fract_z
_atom_site_occupancy
Li1 Li 0.0000 0.0024 0.0000 1
Li2 Li 0.0037 0.2504 0.2587 1
Li3 Li 0.5069 0.2728 0.9220 1
Co1 Co 0.0055 0.4852 0.5074 1
Co2 Co 0.5050 0.0231 0.6781 1
Si1 Si 0.0044 0.2618 0.7592 1
Si2 Si 0.5101 0.2379 0.4214 1
O1 O 0.3305 0.2329 0.7618 1
O2 O 0.3861 0.4544 0.4746 1
O3 O 0.3983 0.1981 0.2778 1
O4 O 0.4122 0.0282 0.5071 1
O5 O 0.8348 0.2405 0.4223 1
O6 O 0.8824 0.0472 0.6856 1
O7 O 0.9001 0.2603 0.9046 1
O8 O 0.9329 0.4771 0.6851 1
```